Starting from a DFT-relaxed cell (GGA-PBE, the Materials Project), the PXRD pattern of Ce5S8 was simulated for λ = 1.5418 Å (Cu Kα).

Atomic structure:
Cell lengths 11.803, 11.803, 11.803 Å; angles 90.00, 90.00, 90.00 degrees
Space group F-43m (No. 216)
Unique sites:
Ce 0.000 0.000 0.000 x4
Ce 0.121 0.121 0.621 x16
S 0.111 0.111 0.389 x16
S 0.135 0.135 0.865 x16

Main lines, in order of falling intensity (2θ from 5° to 70°):
Position (°2θ)	d (Å)	I_rel
25.0	3.559	100
43.4	2.086	69
13.0	6.814	56
39.7	2.271	52
30.3	2.951	50
60.2	1.537	23

***

Starting from a DFT-relaxed cell (GGA-PBE, the Materials Project), the PXRD pattern of CeS was simulated for λ = 1.5418 Å (Cu Kα).

Atomic structure:
Cell lengths 3.966, 3.966, 10.420 Å; angles 90.00, 90.00, 90.00 degrees
Space group P4/nmm (No. 129, origin choice 2)
Unique sites:
Ce 0.250 0.250 0.120 x2
S 0.250 0.250 0.846 x2

Main lines, in order of falling intensity (2θ from 5° to 70°):
Position (°2θ)	d (Å)	I_rel
8.5	10.420	100
28.3	3.156	20
31.9	2.804	19
33.1	2.708	17
24.0	3.707	12
47.6	1.909	11

***

Starting from a DFT-relaxed cell (GGA-PBE, the Materials Project), the PXRD pattern of Ce10S19 was simulated for λ = 1.5418 Å (Cu Kα).

Atomic structure:
Cell lengths 8.930, 8.930, 15.991 Å; angles 90.00, 90.00, 90.00 degrees
Space group P4_2/n (No. 86, origin choice 2)
Unique sites:
Ce 0.041 0.349 0.122 x8
Ce 0.055 0.354 0.602 x8
Ce 0.250 0.750 0.113 x4
S 0.028 0.806 0.249 x8
S 0.049 0.348 0.424 x8
S 0.054 0.352 0.937 x8
S 0.077 0.886 0.750 x8
S 0.250 0.250 0.250 x2
S 0.250 0.750 0.433 x4

Main lines, in order of falling intensity (2θ from 5° to 70°):
Position (°2θ)	d (Å)	I_rel
24.9	3.573	100
39.1	2.307	62
31.7	2.824	49
40.7	2.217	40
45.4	1.997	33
33.6	2.664	31

***

Starting from a DFT-relaxed cell (GGA-PBE, the Materials Project), the PXRD pattern of CeS was simulated for λ = 1.5418 Å (Cu Kα).

Atomic structure:
Cell lengths 5.683, 5.683, 5.683 Å; angles 90.00, 90.00, 90.00 degrees
Space group Fm-3m (No. 225)
Unique sites:
Ce 0.000 0.000 0.000 x4
S 0.000 0.000 0.500 x4

Main lines, in order of falling intensity (2θ from 5° to 70°):
Position (°2θ)	d (Å)	I_rel
31.5	2.841	100
45.1	2.009	72
27.2	3.281	72
53.5	1.713	35
56.1	1.640	25
65.7	1.421	11

***

Starting from a DFT-relaxed cell (GGA-PBE, the Materials Project), the PXRD pattern of CeS was simulated for λ = 1.5418 Å (Cu Kα).

Atomic structure:
Cell lengths 3.513, 3.513, 3.513 Å; angles 90.00, 90.00, 90.00 degrees
Space group Pm-3m (No. 221)
Unique sites:
Ce 0.000 0.000 0.000 x1
S 0.500 0.500 0.500 x1

Main lines, in order of falling intensity (2θ from 5° to 70°):
Position (°2θ)	d (Å)	I_rel
36.2	2.484	100
25.4	3.513	47
65.0	1.434	35
58.8	1.571	20
52.1	1.756	17
44.7	2.028	14

***

Starting from a DFT-relaxed cell (GGA-PBE, the Materials Project), the PXRD pattern of Ce6Si4S17 was simulated for λ = 1.5418 Å (Cu Kα).

Atomic structure:
Cell lengths 9.011, 10.066, 14.336 Å; angles 82.27, 86.86, 89.24 degrees
Space group P-1 (No. 2)
Unique sites:
Ce 0.020 0.268 0.458 x2
Ce 0.082 0.579 0.167 x2
Ce 0.106 0.885 0.817 x2
Ce 0.329 0.911 0.342 x2
Ce 0.370 0.569 0.674 x2
Ce 0.449 0.239 0.001 x2
Si 0.231 0.938 0.099 x2
Si 0.249 0.001 0.585 x2
Si 0.252 0.559 0.923 x2
Si 0.274 0.558 0.394 x2
S 0.009 0.872 0.114 x2
S 0.015 0.994 0.623 x2
S 0.042 0.647 0.951 x2
S 0.071 0.646 0.721 x2
S 0.106 0.701 0.346 x2
S 0.183 0.481 0.533 x2
S 0.246 0.113 0.167 x2
S 0.258 0.387 0.850 x2
S 0.293 0.809 0.540 x2
S 0.297 0.410 0.305 x2
S 0.308 0.134 0.463 x2
S 0.322 0.981 0.957 x2
S 0.339 0.502 0.057 x2
S 0.355 0.029 0.707 x2
S 0.367 0.783 0.167 x2
S 0.384 0.711 0.838 x2
S 0.482 0.653 0.397 x2

Main lines, in order of falling intensity (2θ from 5° to 70°):
Position (°2θ)	d (Å)	I_rel
21.9	4.059	100
20.4	4.364	73
20.7	4.281	71
32.9	2.722	56
34.7	2.586	56
21.7	4.096	49

***

Starting from a DFT-relaxed cell (GGA-PBE, the Materials Project), the PXRD pattern of Ce2SiS5 was simulated for λ = 1.5418 Å (Cu Kα).

Atomic structure:
Cell lengths 8.560, 7.623, 11.260 Å; angles 90.00, 91.88, 90.00 degrees
Space group P2_1/c (No. 14)
Unique sites:
Ce 0.014 0.047 0.320 x4
Ce 0.250 0.593 0.497 x4
Si 0.400 0.083 0.662 x4
S 0.044 0.172 0.080 x4
S 0.214 0.691 0.731 x4
S 0.228 0.145 0.804 x4
S 0.237 0.528 0.018 x4
S 0.458 0.154 0.095 x4

Main lines, in order of falling intensity (2θ from 5° to 70°):
Position (°2θ)	d (Å)	I_rel
10.3	8.556	100
26.5	3.366	63
40.5	2.227	61
26.7	3.339	44
35.0	2.563	42
25.4	3.511	42

***

Starting from a DFT-relaxed cell (GGA-PBE, the Materials Project), the PXRD pattern of Ce2SiS5 was simulated for λ = 1.5418 Å (Cu Kα).

Atomic structure:
Cell lengths 7.525, 12.563, 7.840 Å; angles 90.00, 101.45, 90.00 degrees
Space group P2_1/c (No. 14)
Unique sites:
Ce 0.162 0.168 0.137 x4
Ce 0.237 0.595 0.044 x4
Si 0.330 0.618 0.596 x4
S 0.124 0.704 0.695 x4
S 0.138 0.119 0.500 x4
S 0.174 0.529 0.386 x4
S 0.420 0.002 0.283 x4
S 0.473 0.229 0.948 x4

Main lines, in order of falling intensity (2θ from 5° to 70°):
Position (°2θ)	d (Å)	I_rel
23.1	3.844	100
37.6	2.389	63
24.1	3.686	51
24.4	3.642	45
23.9	3.723	41
18.2	4.863	41

***

Starting from a DFT-relaxed cell (GGA-PBE, the Materials Project), the PXRD pattern of Ce2SmS4 was simulated for λ = 1.5418 Å (Cu Kα).

Atomic structure:
Cell lengths 8.507, 8.507, 8.578 Å; angles 90.00, 90.00, 90.00 degrees
Space group I-42d (No. 122)
Unique sites:
Ce 0.126 0.750 0.125 x8
Sm 0.000 0.000 0.500 x4
S 0.075 0.676 0.453 x16

Main lines, in order of falling intensity (2θ from 5° to 70°):
Position (°2θ)	d (Å)	I_rel
25.6	3.478	100
33.3	2.691	94
39.6	2.277	60
25.5	3.492	52
33.0	2.710	49
47.8	1.904	39

***

Starting from a DFT-relaxed cell (GGA-PBE, the Materials Project), the PXRD pattern of CeSm2S4 was simulated for λ = 1.5418 Å (Cu Kα).

Atomic structure:
Cell lengths 8.522, 8.522, 8.546 Å; angles 90.00, 90.00, 90.00 degrees
Space group I-42d (No. 122)
Unique sites:
Ce 0.000 0.000 0.000 x4
Sm 0.122 0.250 0.625 x8
S 0.075 0.175 0.302 x16

Main lines, in order of falling intensity (2θ from 5° to 70°):
Position (°2θ)	d (Å)	I_rel
25.6	3.482	100
33.2	2.697	92
39.5	2.280	57
47.7	1.908	26
50.2	1.819	26
67.8	1.383	24

***

Q: What is the formula in the tenth record?
A: CeSm2S4